This entry pairs a crystal structure of MgGaNi2O4 with its simulated XRD peak list. Radiation: Cu Kα, 1.54184 Å. Structure: a PBE+U-relaxed structure.
Kinematic intensities with the Lorentz-polarization factor, no thermal factor.

Cell and atoms:
```
MgGaNi2O4
1.0
5.354 0.000 0.000
0.000 2.965 0.000
-2.129 0.000 4.954
Mg Ga Ni O
1 1 2 4
direct
0.000 0.000 0.000 Mg
0.000 0.500 0.500 Ga
0.500 0.000 0.500 Ni
0.500 0.500 0.000 Ni
0.219 0.500 0.278 O
0.239 0.000 0.736 O
0.761 0.000 0.264 O
0.781 0.500 0.722 O
```

Most intense lines, 10 to 90 degrees two-theta, in order of rising 2θ:
Position (°2θ), d/Å, Rel. int., index
17.90, 4.954, 18, 0 0 1
19.79, 4.487, 11, 1 0 -1
36.30, 2.475, 81, 0 0 2
36.53, 2.460, 27, 2 0 0
40.19, 2.244, 59, 2 0 -2
43.22, 2.093, 100, 1 1 1
60.31, 1.535, 32, 1 1 -3
60.67, 1.526, 31, 3 1 -1
62.67, 1.482, 16, 0 2 0
62.89, 1.478, 14, 2 0 2
74.65, 1.271, 14, 1 1 3
77.12, 1.237, 14, 2 2 -2